1.
For K2NaCrF6, the PBE+U geometry in the Materials Project gives the computed X-ray diffraction stick pattern in this record (λ = 1.5418 Å (Cu Kα)).
Neutral-atom scattering factors, no anomalous dispersion.

Most intense lines, 2θ from 15° to 90°, by intensity:
| 2θ/deg | I/Imax |
| --- | --- |
| 30.0 | 100 |
| 42.9 | 85 |
| 62.3 | 45 |
| 36.9 | 34 |
| 53.2 | 33 |
| 18.2 | 31 |
| 86.4 | 17 |
| 70.7 | 16 |
| 78.6 | 13 |
| 21.1 | 12 |
| 56.7 | 6 |
| 74.7 | 6 |

Structural model:
a = 5.962 Å, b = 5.962 Å, c = 5.962 Å
α = 60.00°, β = 60.00°, γ = 60.00°
Fractional positions:
K (0.250, 0.250, 0.250)
K (0.750, 0.750, 0.750)
Na (0.000, 0.000, 0.000)
Cr (0.500, 0.500, 0.500)
F (0.269, 0.269, 0.731)
F (0.269, 0.731, 0.269)
F (0.269, 0.731, 0.731)
F (0.731, 0.269, 0.269)
F (0.731, 0.269, 0.731)
F (0.731, 0.731, 0.269)

***

2.
For MoH2O4, the PBE+U geometry in the Materials Project gives the computed X-ray diffraction stick pattern in this record (λ = 1.5418 Å (Cu Kα)).
Neutral-atom scattering factors, no anomalous dispersion.

Most intense lines, 2θ from 15° to 90°, by intensity:
| 2θ/deg | I/Imax |
| --- | --- |
| 16.6 | 100 |
| 15.8 | 76 |
| 26.5 | 55 |
| 24.9 | 44 |
| 27.7 | 38 |
| 25.9 | 38 |
| 30.2 | 34 |
| 46.8 | 27 |
| 37.7 | 23 |
| 31.6 | 20 |
| 33.9 | 17 |
| 23.2 | 15 |

Structural model:
a = 3.827 Å, b = 6.120 Å, c = 7.651 Å
α = 69.43°, β = 82.24°, γ = 75.99°
Fractional positions:
Mo (0.000, 0.000, 0.000)
Mo (0.481, 0.745, 0.418)
H (0.132, 0.088, 0.527)
H (0.194, 0.623, 0.915)
H (0.429, 0.323, 0.378)
H (0.785, 0.380, 0.133)
O (0.040, 0.107, 0.761)
O (0.077, 0.668, 0.023)
O (0.294, 0.079, 0.417)
O (0.449, 0.625, 0.657)
O (0.469, 0.955, 0.081)
O (0.550, 0.462, 0.357)
O (0.830, 0.292, 0.043)
O (0.947, 0.793, 0.350)

***

3.
For Li9Mn2Co5O16, the PBE+U geometry in the Materials Project gives the computed X-ray diffraction stick pattern in this record (λ = 1.5418 Å (Cu Kα)).
Neutral-atom scattering factors, no anomalous dispersion.

Most intense lines, 2θ from 15° to 90°, by intensity:
| 2θ/deg | I/Imax |
| --- | --- |
| 18.4 | 100 |
| 41.2 | 33 |
| 44.7 | 25 |
| 44.9 | 25 |
| 36.8 | 23 |
| 34.4 | 19 |
| 37.2 | 8 |
| 62.3 | 8 |
| 62.6 | 8 |
| 62.7 | 8 |
| 62.5 | 8 |
| 64.3 | 7 |

Structural model:
a = 2.979 Å, b = 8.084 Å, c = 11.960 Å
α = 90.74°, β = 94.35°, γ = 91.02°
Fractional positions:
Li (0.000, 0.000, 0.000)
Li (0.001, 0.012, 0.494)
Li (0.004, 0.508, 0.744)
Li (0.494, 0.764, 0.877)
Li (0.500, 0.259, 0.621)
Li (0.503, 0.256, 0.121)
Li (0.505, 0.762, 0.371)
Li (0.507, 0.765, 0.116)
Li (0.993, 0.515, 0.247)
Mn (0.499, 0.760, 0.621)
Mn (0.998, 0.517, 0.999)
Co (0.002, 0.508, 0.494)
Co (0.005, 0.000, 0.242)
Co (0.490, 0.258, 0.873)
Co (0.500, 0.258, 0.370)
Co (0.996, 0.011, 0.748)
O (0.006, 0.742, 0.994)
O (0.026, 0.250, 0.754)
O (0.027, 0.241, 0.254)
O (0.027, 0.746, 0.499)
O (0.473, 0.499, 0.886)
O (0.474, 0.516, 0.615)
O (0.476, 0.022, 0.864)
O (0.476, 0.024, 0.365)
O (0.526, 0.496, 0.375)
O (0.526, 0.509, 0.106)
O (0.527, 0.012, 0.133)
O (0.528, 0.003, 0.627)
O (0.971, 0.270, 0.988)
O (0.972, 0.771, 0.742)
O (0.974, 0.272, 0.489)
O (0.997, 0.786, 0.250)

***

4.
For NaMn4O8, the PBE+U geometry in the Materials Project gives the computed X-ray diffraction stick pattern in this record (λ = 1.5418 Å (Cu Kα)).
Neutral-atom scattering factors, no anomalous dispersion.

Most intense lines, 2θ from 15° to 90°, by intensity:
| 2θ/deg | I/Imax |
| --- | --- |
| 18.1 | 100 |
| 36.3 | 92 |
| 17.5 | 89 |
| 28.5 | 74 |
| 36.5 | 59 |
| 36.1 | 57 |
| 35.3 | 56 |
| 28.1 | 56 |
| 49.2 | 44 |
| 48.2 | 39 |
| 41.0 | 36 |
| 58.5 | 33 |

Structural model:
a = 9.795 Å, b = 5.950 Å, c = 13.942 Å
α = 90.00°, β = 133.20°, γ = 90.00°
Fractional positions:
Na (0.101, 0.131, 0.337)
Na (0.101, 0.369, 0.837)
Na (0.899, 0.631, 0.163)
Na (0.899, 0.869, 0.663)
Mn (0.183, 0.125, 0.590)
Mn (0.183, 0.375, 0.090)
Mn (0.184, 0.626, 0.587)
Mn (0.184, 0.874, 0.087)
Mn (0.473, 0.626, 0.395)
Mn (0.473, 0.874, 0.895)
Mn (0.482, 0.124, 0.399)
Mn (0.482, 0.376, 0.899)
Mn (0.518, 0.624, 0.101)
Mn (0.518, 0.876, 0.601)
Mn (0.527, 0.126, 0.105)
Mn (0.527, 0.374, 0.605)
Mn (0.816, 0.126, 0.913)
Mn (0.816, 0.374, 0.413)
Mn (0.817, 0.625, 0.910)
Mn (0.817, 0.875, 0.410)
O (0.062, 0.621, 0.959)
O (0.062, 0.879, 0.459)
O (0.064, 0.128, 0.961)
O (0.064, 0.372, 0.461)
O (0.270, 0.626, 0.207)
O (0.270, 0.874, 0.707)
O (0.274, 0.124, 0.209)
O (0.274, 0.376, 0.709)
O (0.352, 0.614, 0.910)
O (0.352, 0.886, 0.410)
O (0.359, 0.134, 0.913)
O (0.359, 0.366, 0.413)
O (0.387, 0.124, 0.598)
O (0.387, 0.376, 0.098)
O (0.392, 0.627, 0.601)
O (0.392, 0.873, 0.101)
O (0.608, 0.127, 0.899)
O (0.608, 0.373, 0.399)
O (0.613, 0.624, 0.902)
O (0.613, 0.876, 0.402)
O (0.641, 0.634, 0.587)
O (0.641, 0.866, 0.087)
O (0.648, 0.114, 0.590)
O (0.648, 0.386, 0.090)
O (0.726, 0.624, 0.291)
O (0.726, 0.876, 0.791)
O (0.730, 0.126, 0.293)
O (0.730, 0.374, 0.793)
O (0.936, 0.628, 0.539)
O (0.936, 0.872, 0.039)
O (0.938, 0.121, 0.541)
O (0.938, 0.379, 0.041)

***

5.
For Na3VH11IO13, the PBE+U geometry in the Materials Project gives the computed X-ray diffraction stick pattern in this record (λ = 1.5418 Å (Cu Kα)).
Neutral-atom scattering factors, no anomalous dispersion.

Most intense lines, 2θ from 15° to 90°, by intensity:
| 2θ/deg | I/Imax |
| --- | --- |
| 23.4 | 100 |
| 17.9 | 86 |
| 21.1 | 74 |
| 26.6 | 67 |
| 16.0 | 53 |
| 37.9 | 50 |
| 31.5 | 50 |
| 21.5 | 50 |
| 29.7 | 47 |
| 27.2 | 45 |
| 28.8 | 42 |
| 32.5 | 40 |

Structural model:
a = 6.970 Å, b = 8.660 Å, c = 12.761 Å
α = 76.83°, β = 86.23°, γ = 85.41°
Fractional positions:
Na (0.034, 0.196, 0.264)
Na (0.419, 0.197, 0.396)
Na (0.453, 0.814, 0.923)
Na (0.547, 0.186, 0.077)
Na (0.581, 0.803, 0.604)
Na (0.966, 0.804, 0.736)
V (0.057, 0.179, 0.000)
V (0.943, 0.821, 0.000)
H (0.048, 0.559, 0.156)
H (0.071, 0.161, 0.490)
H (0.098, 0.044, 0.854)
H (0.101, 0.613, 0.417)
H (0.116, 0.130, 0.688)
H (0.128, 0.645, 0.641)
H (0.153, 0.502, 0.056)
H (0.212, 0.609, 0.677)
H (0.423, 0.577, 0.866)
H (0.445, 0.003, 0.006)
H (0.469, 0.429, 0.134)
H (0.531, 0.571, 0.866)
H (0.555, 0.997, 0.994)
H (0.577, 0.423, 0.134)
H (0.788, 0.391, 0.323)
H (0.847, 0.498, 0.944)
H (0.872, 0.355, 0.359)
H (0.884, 0.870, 0.312)
H (0.899, 0.387, 0.583)
H (0.902, 0.956, 0.146)
H (0.929, 0.839, 0.510)
H (0.952, 0.441, 0.844)
I (0.214, 0.840, 0.260)
I (0.786, 0.160, 0.740)
O (0.013, 0.077, 0.663)
O (0.068, 0.162, 0.838)
O (0.109, 0.819, 0.891)
O (0.111, 0.236, 0.424)
O (0.135, 0.618, 0.341)
O (0.137, 0.591, 0.094)
O (0.182, 0.997, 0.032)
O (0.224, 0.311, 0.006)
O (0.310, 0.319, 0.635)
O (0.318, 0.036, 0.241)
O (0.323, 0.795, 0.431)
O (0.397, 0.916, 0.454)
O (0.399, 0.358, 0.705)
O (0.601, 0.642, 0.295)
O (0.603, 0.084, 0.546)
O (0.677, 0.205, 0.569)
O (0.682, 0.964, 0.759)
O (0.690, 0.681, 0.365)
O (0.776, 0.689, 0.994)
O (0.818, 0.003, 0.968)
O (0.863, 0.409, 0.906)
O (0.865, 0.382, 0.659)
O (0.889, 0.764, 0.576)
O (0.891, 0.181, 0.109)
O (0.932, 0.838, 0.162)
O (0.987, 0.923, 0.337)

***

6.
For HfMnO3, the PBE+U geometry in the Materials Project gives the computed X-ray diffraction stick pattern in this record (λ = 1.5418 Å (Cu Kα)).
Neutral-atom scattering factors, no anomalous dispersion.

Most intense lines, 2θ from 15° to 90°, by intensity:
| 2θ/deg | I/Imax |
| --- | --- |
| 32.3 | 100 |
| 22.8 | 41 |
| 31.9 | 25 |
| 58.6 | 23 |
| 33.1 | 22 |
| 46.7 | 22 |
| 22.5 | 21 |
| 57.1 | 20 |
| 67.5 | 12 |
| 45.9 | 12 |
| 57.0 | 12 |
| 57.8 | 11 |

Structural model:
a = 5.607 Å, b = 7.907 Å, c = 5.411 Å
α = 90.00°, β = 90.00°, γ = 90.00°
Fractional positions:
Hf (0.000, 0.000, 0.000)
Hf (0.000, 0.500, 0.000)
Hf (0.500, 0.000, 0.500)
Hf (0.500, 0.500, 0.500)
Mn (0.045, 0.250, 0.491)
Mn (0.455, 0.750, 0.991)
Mn (0.545, 0.250, 0.009)
Mn (0.955, 0.750, 0.509)
O (0.061, 0.750, 0.124)
O (0.187, 0.566, 0.682)
O (0.187, 0.934, 0.682)
O (0.313, 0.066, 0.182)
O (0.313, 0.434, 0.182)
O (0.439, 0.250, 0.624)
O (0.561, 0.750, 0.376)
O (0.687, 0.566, 0.818)
O (0.687, 0.934, 0.818)
O (0.813, 0.066, 0.318)
O (0.813, 0.434, 0.318)
O (0.939, 0.250, 0.876)

***

7.
For Na3Li3Mn2P2C2O14, the PBE+U geometry in the Materials Project gives the computed X-ray diffraction stick pattern in this record (λ = 1.5418 Å (Cu Kα)).
Neutral-atom scattering factors, no anomalous dispersion.

Most intense lines, 2θ from 15° to 90°, by intensity:
| 2θ/deg | I/Imax |
| --- | --- |
| 26.5 | 100 |
| 34.8 | 59 |
| 26.3 | 34 |
| 20.1 | 28 |
| 19.8 | 28 |
| 34.9 | 24 |
| 32.2 | 24 |
| 37.1 | 23 |
| 24.7 | 21 |
| 54.5 | 19 |
| 26.9 | 16 |
| 36.1 | 16 |

Structural model:
a = 5.161 Å, b = 6.757 Å, c = 8.823 Å
α = 94.34°, β = 91.18°, γ = 90.87°
Fractional positions:
Na (0.000, 0.000, 0.000)
Na (0.011, 0.281, 0.333)
Na (0.505, 0.307, 0.839)
Li (0.035, 0.741, 0.370)
Li (0.472, 0.845, 0.789)
Li (0.519, 0.596, 0.178)
Mn (0.035, 0.548, 0.725)
Mn (0.480, 0.025, 0.434)
P (0.546, 0.541, 0.499)
P (0.969, 0.034, 0.662)
C (0.517, 0.027, 0.130)
C (0.994, 0.552, 0.048)
O (0.057, 0.235, 0.746)
O (0.068, 0.011, 0.497)
O (0.080, 0.868, 0.757)
O (0.240, 0.543, 0.022)
O (0.292, 0.025, 0.193)
O (0.437, 0.700, 0.396)
O (0.444, 0.571, 0.665)
O (0.461, 0.338, 0.422)
O (0.538, 0.027, 0.983)
O (0.666, 0.020, 0.656)
O (0.723, 0.026, 0.218)
O (0.826, 0.556, 0.936)
O (0.848, 0.558, 0.509)
O (0.907, 0.560, 0.186)

***

What did the first record say?
For K2NaCrF6, the PBE+U geometry in the Materials Project gives the computed X-ray diffraction stick pattern in this record (λ = 1.5418 Å (Cu Kα)).
Neutral-atom scattering factors, no anomalous dispersion.

Most intense lines, 2θ from 15° to 90°, by intensity:
| 2θ/deg | I/Imax |
| --- | --- |
| 30.0 | 100 |
| 42.9 | 85 |
| 62.3 | 45 |
| 36.9 | 34 |
| 53.2 | 33 |
| 18.2 | 31 |
| 86.4 | 17 |
| 70.7 | 16 |
| 78.6 | 13 |
| 21.1 | 12 |
| 56.7 | 6 |
| 74.7 | 6 |

Structural model:
a = 5.962 Å, b = 5.962 Å, c = 5.962 Å
α = 60.00°, β = 60.00°, γ = 60.00°
Fractional positions:
K (0.250, 0.250, 0.250)
K (0.750, 0.750, 0.750)
Na (0.000, 0.000, 0.000)
Cr (0.500, 0.500, 0.500)
F (0.269, 0.269, 0.731)
F (0.269, 0.731, 0.269)
F (0.269, 0.731, 0.731)
F (0.731, 0.269, 0.269)
F (0.731, 0.269, 0.731)
F (0.731, 0.731, 0.269)